This entry pairs a crystal structure of HfCrAgS4 with its computed powder XRD pattern. Radiation: CuKα. Structure: DFT lattice parameters and positions (PBE).
Peak positions follow from Bragg's law for the DFT cell and can differ from measured ones.

Structure:
Lattice parameters (Å, degrees): 7.0987 11.8802 12.9914 89.40 89.94 89.75
Fractional positions:
Hf (0.0000, 0.0000, 0.0000)
Hf (0.0112, 0.7393, 0.4892)
Hf (0.2727, 0.2458, 0.8486)
Hf (0.2945, 0.5064, 0.3411)
Hf (0.4926, 0.0155, 0.3499)
Hf (0.5132, 0.7361, 0.8485)
Hf (0.7724, 0.2335, 0.4933)
Hf (0.7858, 0.7453, 0.1540)
Cr (0.0129, 0.2886, 0.0980)
Cr (0.0188, 0.4680, 0.5946)
Cr (0.2586, 0.0025, 0.6866)
Cr (0.3129, 0.7717, 0.1299)
Cr (0.5080, 0.2718, 0.1164)
Cr (0.5238, 0.4846, 0.7150)
Cr (0.7568, 0.5021, 0.9926)
Cr (0.7683, 0.9641, 0.5987)
Ag (0.0060, 0.7472, 0.8270)
Ag (0.0367, 0.0246, 0.3395)
Ag (0.2709, 0.5085, 0.9732)
Ag (0.2775, 0.2437, 0.4768)
Ag (0.5162, 0.0155, 0.9632)
Ag (0.5207, 0.7435, 0.4972)
Ag (0.7549, 0.5144, 0.3185)
Ag (0.7843, 0.2352, 0.8182)
S (0.0010, 0.6609, 0.3028)
S (0.0056, 0.0993, 0.5676)
S (0.0167, 0.3852, 0.4349)
S (0.0271, 0.8547, 0.6572)
S (0.0459, 0.8934, 0.1692)
S (0.0488, 0.0823, 0.8182)
S (0.2533, 0.1619, 0.0378)
S (0.2570, 0.5939, 0.5239)
S (0.2587, 0.4025, 0.1719)
S (0.2626, 0.3573, 0.6821)
S (0.2646, 0.8805, 0.4210)
S (0.2685, 0.8518, 0.9595)
S (0.2836, 0.6049, 0.7861)
S (0.2977, 0.1609, 0.2831)
S (0.4791, 0.6673, 0.2714)
S (0.4945, 0.1088, 0.7844)
S (0.5193, 0.8613, 0.6886)
S (0.5218, 0.0909, 0.5400)
S (0.5294, 0.3549, 0.9467)
S (0.5316, 0.6531, 0.0359)
S (0.5346, 0.3896, 0.4169)
S (0.5405, 0.9082, 0.1773)
S (0.7495, 0.5844, 0.8197)
S (0.7571, 0.3995, 0.1516)
S (0.7633, 0.1544, 0.3167)
S (0.7649, 0.3555, 0.6558)
S (0.7699, 0.8606, 0.9522)
S (0.7705, 0.8879, 0.4348)
S (0.7858, 0.1490, 0.0657)
S (0.7873, 0.6074, 0.5640)
S (0.9898, 0.6364, 0.0384)
S (0.9933, 0.3681, 0.9375)

Main lines, most intense first (15 to 90 degrees two-theta):
h k l  2θ/deg  intensity
0 2 3  25.3  100.0
0 2 -3  25.6  86.7
-2 3 2  36.7  43.6
2 -1 0  26.2  42.4
0 4 0  30.1  36.2
4 0 0  51.5  35.0
2 3 -1  34.6  34.8
2 -1 5  43.9  32.5
0 6 -3  50.9  32.1
0 6 3  50.5  31.4
2 -3 0  34.0  30.1
2 3 0  33.8  29.4